Entry 1:
Calculated powder X-ray diffraction pattern of Th2Ga8Ag for λ = 1.5418 Å (Cu Kα), from a cell relaxed with PBE.
No peak broadening, texture or thermal motion is included.

Cell and atoms:
Cell: 4.4857 4.4857 11.5469 Å, 90.00 90.00 90.00°
Space group P4/mmm (No. 123)
One atom of each set of equivalent atoms:
Th  0.0000  0.0000  0.1866 [2 per cell]
Ga  0.0000  0.5000  0.0000 [2 per cell]
Ga  0.0000  0.5000  0.3716 [4 per cell]
Ga  0.5000  0.5000  0.1883 [2 per cell]
Ag  0.0000  0.0000  0.5000 [1 per cell]

The 10 most intense peaks (2θ from 10° to 90°), sorted by position:
19.79 deg, rel. 36.8; 30.61 deg, rel. 23.4; 32.20 deg, rel. 25.7; 36.71 deg, rel. 100.0; 39.00 deg, rel. 11.6; 40.21 deg, rel. 48.1; 51.36 deg, rel. 11.4; 57.26 deg, rel. 15.2; 58.17 deg, rel. 16.1; 70.79 deg, rel. 28.7


Entry 2:
Calculated powder X-ray diffraction pattern of SrLaB12 for λ = 1.5418 Å (Cu Kα), from a cell relaxed with PBE.
No peak broadening, texture or thermal motion is included.

Cell and atoms:
Cell: 4.1732 4.1732 8.3511 Å, 90.00 90.00 90.00°
Space group P4/mmm (No. 123)
One atom of each set of equivalent atoms:
Sr  0.0000  0.0000  0.0000 [1 per cell]
La  0.0000  0.0000  0.5000 [1 per cell]
B  0.2013  0.5000  0.2512 [8 per cell]
B  0.5000  0.5000  0.1012 [2 per cell]
B  0.5000  0.5000  0.4002 [2 per cell]

The 10 most intense peaks (2θ from 10° to 90°), sorted by position:
21.29 deg, rel. 52.7; 30.28 deg, rel. 100.0; 37.31 deg, rel. 42.8; 43.36 deg, rel. 22.0; 48.79 deg, rel. 48.1; 53.80 deg, rel. 24.0; 67.30 deg, rel. 28.6; 71.47 deg, rel. 20.4; 75.55 deg, rel. 12.2; 87.43 deg, rel. 16.6


Entry 3:
Calculated powder X-ray diffraction pattern of AgH3Pd2 for λ = 1.5418 Å (Cu Kα), from a cell relaxed with PBE.
No peak broadening, texture or thermal motion is included.

Cell and atoms:
Cell: 3.0601 5.4811 7.8609 Å, 69.87 89.31 74.03°
Space group P-1 (No. 2)
One atom of each set of equivalent atoms:
Ag  0.1600  0.1756  0.0788 [2 per cell]
H  0.0079  0.4951  0.6498 [2 per cell]
H  0.3359  0.8246  0.5742 [2 per cell]
H  0.3468  0.8196  0.2796 [2 per cell]
Pd  0.1637  0.1734  0.5810 [2 per cell]
Pd  0.4948  0.5066  0.2287 [2 per cell]

The 10 most intense peaks (2θ from 10° to 90°), sorted by position:
35.27 deg, rel. 100.0; 35.98 deg, rel. 96.8; 37.02 deg, rel. 88.9; 37.47 deg, rel. 86.5; 40.09 deg, rel. 70.3; 40.47 deg, rel. 68.6; 46.21 deg, rel. 43.2; 55.99 deg, rel. 26.6; 60.52 deg, rel. 21.2; 72.46 deg, rel. 23.7


Entry 4:
Calculated powder X-ray diffraction pattern of HoBO3 for λ = 1.5418 Å (Cu Kα), from a cell relaxed with PBE.
No peak broadening, texture or thermal motion is included.

Cell and atoms:
Cell: 4.9902 4.9902 16.6635 Å, 90.00 90.00 120.00°
Space group R-3c (No. 167, hexagonal axes)
One atom of each set of equivalent atoms:
Ho  0.0000  0.0000  0.0000 [6 per cell]
B  0.0000  0.0000  0.2500 [6 per cell]
O  0.0000  0.2783  0.2500 [18 per cell]

The 10 most intense peaks (2θ from 10° to 90°), sorted by position:
23.19 deg, rel. 100.0; 29.79 deg, rel. 89.5; 35.99 deg, rel. 36.2; 43.26 deg, rel. 27.9; 47.40 deg, rel. 18.4; 48.52 deg, rel. 22.5; 49.08 deg, rel. 41.4; 57.49 deg, rel. 22.9; 60.92 deg, rel. 18.5; 64.71 deg, rel. 11.2


Entry 5:
Calculated powder X-ray diffraction pattern of Tb2GaSnGe for λ = 1.5418 Å (Cu Kα), from a cell relaxed with PBE.
No peak broadening, texture or thermal motion is included.

Cell and atoms:
Cell: 4.2666 8.7045 6.3612 Å, 90.00 90.00 90.00°
Space group Pmmn (No. 59, origin choice 2)
One atom of each set of equivalent atoms:
Tb  0.2500  0.0331  0.2466 [4 per cell]
Ga  0.2500  0.7500  0.5514 [2 per cell]
Sn  0.2500  0.2500  0.7300 [2 per cell]
Ge  0.2500  0.7500  0.9464 [2 per cell]

The 10 most intense peaks (2θ from 10° to 90°), sorted by position:
28.05 deg, rel. 17.4; 32.59 deg, rel. 100.0; 33.96 deg, rel. 14.1; 34.94 deg, rel. 16.4; 36.72 deg, rel. 31.4; 41.50 deg, rel. 14.4; 42.37 deg, rel. 20.0; 53.53 deg, rel. 10.5; 64.85 deg, rel. 17.0; 71.32 deg, rel. 10.6


Entry 6:
Calculated powder X-ray diffraction pattern of Mg3Au4 for λ = 1.5418 Å (Cu Kα), from a cell relaxed with PBE.
No peak broadening, texture or thermal motion is included.

Cell and atoms:
Cell: 12.4005 12.4005 5.6849 Å, 90.00 90.00 120.00°
Space group R-3 (No. 148, hexagonal axes)
One atom of each set of equivalent atoms:
Mg  0.0473  0.2278  0.1955 [18 per cell]
Au  0.0000  0.0000  0.0000 [3 per cell]
Au  0.0000  0.0000  0.5000 [3 per cell]
Au  0.0516  0.2547  0.6868 [18 per cell]

The 10 most intense peaks (2θ from 10° to 90°), sorted by position:
26.99 deg, rel. 94.5; 38.41 deg, rel. 98.7; 38.67 deg, rel. 100.0; 47.57 deg, rel. 18.2; 55.65 deg, rel. 32.7; 62.73 deg, rel. 14.7; 63.09 deg, rel. 16.2; 69.47 deg, rel. 15.9; 69.64 deg, rel. 29.8; 70.16 deg, rel. 14.5


Entry 7:
Calculated powder X-ray diffraction pattern of Hf2TaRh2 for λ = 1.5418 Å (Cu Kα), from a cell relaxed with PBE.
No peak broadening, texture or thermal motion is included.

Cell and atoms:
Cell: 7.4824 7.4824 3.2364 Å, 90.00 90.00 90.00°
Space group P4/mbm (No. 127)
One atom of each set of equivalent atoms:
Hf  0.1684  0.3316  0.0000 [4 per cell]
Ta  0.0000  0.0000  0.5000 [2 per cell]
Rh  0.1321  0.6321  0.5000 [4 per cell]

The 10 most intense peaks (2θ from 10° to 90°), sorted by position:
32.43 deg, rel. 12.8; 33.89 deg, rel. 15.5; 36.72 deg, rel. 38.9; 38.03 deg, rel. 65.0; 38.71 deg, rel. 100.0; 56.90 deg, rel. 14.7; 58.29 deg, rel. 15.8; 59.71 deg, rel. 13.1; 70.49 deg, rel. 33.4; 74.29 deg, rel. 17.1


Entry 8:
Calculated powder X-ray diffraction pattern of Nd6P2Se3Br for λ = 1.5418 Å (Cu Kα), from a cell relaxed with PBE.
No peak broadening, texture or thermal motion is included.

Cell and atoms:
Cell: 18.3565 4.2042 8.5071 Å, 90.00 102.60 90.00°
Space group C2/m (No. 12)
One atom of each set of equivalent atoms:
Nd  0.0098  0.0000  0.2750 [4 per cell]
Nd  0.1714  0.5000  0.5737 [4 per cell]
Nd  0.1767  0.5000  0.1107 [4 per cell]
P  0.1679  0.0000  0.3353 [4 per cell]
Se  0.0000  0.5000  0.5000 [2 per cell]
Se  0.1598  0.0000  0.8374 [4 per cell]
Br  0.0000  0.5000  0.0000 [2 per cell]

The 10 most intense peaks (2θ from 10° to 90°), sorted by position:
25.91 deg, rel. 21.4; 29.90 deg, rel. 100.0; 42.56 deg, rel. 33.4; 43.02 deg, rel. 37.5; 50.71 deg, rel. 7.3; 53.27 deg, rel. 18.9; 62.11 deg, rel. 10.4; 70.08 deg, rel. 8.1; 70.80 deg, rel. 10.3; 78.58 deg, rel. 7.8


Entry 9:
Calculated powder X-ray diffraction pattern of La6Cd2Tc for λ = 1.5418 Å (Cu Kα), from a cell relaxed with PBE.
No peak broadening, texture or thermal motion is included.

Cell and atoms:
Cell: 7.6446 7.4896 12.9147 Å, 90.00 125.96 90.00°
Space group P2_1/c (No. 14)
One atom of each set of equivalent atoms:
La  0.1861  0.0012  0.2561 [4 per cell]
La  0.2816  0.2361  0.5378 [4 per cell]
La  0.2964  0.7478  0.5366 [4 per cell]
Cd  0.2579  0.5102  0.2574 [4 per cell]
Tc  0.0000  0.0000  0.0000 [2 per cell]

The 10 most intense peaks (2θ from 10° to 90°), sorted by position:
27.85 deg, rel. 19.3; 28.21 deg, rel. 28.7; 28.86 deg, rel. 42.6; 29.02 deg, rel. 39.7; 29.34 deg, rel. 100.0; 33.50 deg, rel. 98.2; 34.31 deg, rel. 36.0; 37.07 deg, rel. 19.4; 48.62 deg, rel. 42.0; 48.82 deg, rel. 19.5


Entry 10:
Calculated powder X-ray diffraction pattern of Na5B7C3 for λ = 1.5418 Å (Cu Kα), from a cell relaxed with PBE.
No peak broadening, texture or thermal motion is included.

Cell and atoms:
Cell: 5.0992 8.5710 7.5871 Å, 90.00 109.63 90.00°
Space group Pm (No. 6)
One atom of each set of equivalent atoms:
Na  0.0000  0.2423  0.0000 [2 per cell]
Na  0.1991  0.2497  0.4004 [2 per cell]
Na  0.3965  0.2451  0.7991 [2 per cell]
Na  0.5972  0.2480  0.1996 [2 per cell]
Na  0.7986  0.2475  0.5997 [2 per cell]
B  0.0842  0.0000  0.7991 [1 per cell]
B  0.1307  0.5000  0.6089 [1 per cell]
B  0.2673  0.0000  0.1996 [1 per cell]
B  0.3207  0.5000  0.9995 [1 per cell]
B  0.4582  0.0000  0.5882 [1 per cell]
B  0.4604  0.5000  0.6072 [1 per cell]
B  0.5221  0.5000  0.3913 [1 per cell]
B  0.6498  0.5000  0.9989 [1 per cell]
B  0.6694  0.0000  0.0109 [1 per cell]
B  0.7308  0.0000  0.7994 [1 per cell]
B  0.7693  0.5000  0.8087 [1 per cell]
B  0.8535  0.5000  0.3929 [1 per cell]
B  0.8677  0.0000  0.4004 [1 per cell]
B  0.9592  0.5000  0.1904 [1 per cell]
C  0.0677  0.5000  0.8041 [1 per cell]
C  0.1311  0.0000  0.5971 [1 per cell]
C  0.2631  0.5000  0.1952 [1 per cell]
C  0.3338  0.0000  0.0022 [1 per cell]
C  0.5249  0.0000  0.3943 [1 per cell]
C  0.9303  0.0000  0.2055 [1 per cell]

The 10 most intense peaks (2θ from 10° to 90°), sorted by position:
35.20 deg, rel. 10.2; 36.02 deg, rel. 17.9; 41.20 deg, rel. 51.2; 41.92 deg, rel. 100.0; 42.17 deg, rel. 37.9; 56.64 deg, rel. 9.9; 63.70 deg, rel. 17.8; 65.29 deg, rel. 8.7; 76.92 deg, rel. 12.5; 80.18 deg, rel. 10.7


Entry 11:
Calculated powder X-ray diffraction pattern of Tb4Pr2Tl5 for λ = 1.5418 Å (Cu Kα), from a cell relaxed with PBE.
No peak broadening, texture or thermal motion is included.

Cell and atoms:
Cell: 6.7155 10.8599 20.2446 Å, 90.00 90.00 90.00°
Space group Fmmm (No. 69)
One atom of each set of equivalent atoms:
Tb  0.0000  0.1656  0.1298 [16 per cell]
Pr  0.0000  0.0000  0.3320 [8 per cell]
Tl  0.0000  0.0000  0.0000 [4 per cell]
Tl  0.2500  0.2500  0.0000 [8 per cell]
Tl  0.2500  0.2500  0.2500 [8 per cell]

The 10 most intense peaks (2θ from 10° to 90°), sorted by position:
16.12 deg, rel. 39.3; 16.32 deg, rel. 47.6; 31.04 deg, rel. 100.0; 31.32 deg, rel. 49.2; 31.99 deg, rel. 90.9; 35.47 deg, rel. 39.5; 36.11 deg, rel. 97.7; 37.60 deg, rel. 45.5; 57.87 deg, rel. 44.4; 64.11 deg, rel. 33.6


Entry 12:
Calculated powder X-ray diffraction pattern of YMg2I6 for λ = 1.5418 Å (Cu Kα), from a cell relaxed with PBE.
No peak broadening, texture or thermal motion is included.

Cell and atoms:
Cell: 16.9672 4.1430 11.4183 Å, 90.00 111.58 90.00°
Space group C2/m (No. 12)
One atom of each set of equivalent atoms:
Y  0.0000  0.0000  0.0000 [2 per cell]
Mg  0.1720  0.5000  0.3382 [4 per cell]
I  0.0387  0.0000  0.2866 [4 per cell]
I  0.1462  0.5000  0.0645 [4 per cell]
I  0.1978  0.5000  0.6109 [4 per cell]

The 10 most intense peaks (2θ from 10° to 90°), sorted by position:
11.25 deg, rel. 60.4; 22.60 deg, rel. 40.7; 23.39 deg, rel. 22.0; 25.16 deg, rel. 27.7; 26.59 deg, rel. 65.1; 26.84 deg, rel. 19.9; 27.40 deg, rel. 100.0; 31.35 deg, rel. 43.5; 34.21 deg, rel. 40.3; 41.71 deg, rel. 73.1


Copy entry 3 word for word.
Calculated powder X-ray diffraction pattern of AgH3Pd2 for λ = 1.5418 Å (Cu Kα), from a cell relaxed with PBE.
No peak broadening, texture or thermal motion is included.

Cell and atoms:
Cell: 3.0601 5.4811 7.8609 Å, 69.87 89.31 74.03°
Space group P-1 (No. 2)
One atom of each set of equivalent atoms:
Ag  0.1600  0.1756  0.0788 [2 per cell]
H  0.0079  0.4951  0.6498 [2 per cell]
H  0.3359  0.8246  0.5742 [2 per cell]
H  0.3468  0.8196  0.2796 [2 per cell]
Pd  0.1637  0.1734  0.5810 [2 per cell]
Pd  0.4948  0.5066  0.2287 [2 per cell]

The 10 most intense peaks (2θ from 10° to 90°), sorted by position:
35.27 deg, rel. 100.0; 35.98 deg, rel. 96.8; 37.02 deg, rel. 88.9; 37.47 deg, rel. 86.5; 40.09 deg, rel. 70.3; 40.47 deg, rel. 68.6; 46.21 deg, rel. 43.2; 55.99 deg, rel. 26.6; 60.52 deg, rel. 21.2; 72.46 deg, rel. 23.7


What did the tenth record say?
Calculated powder X-ray diffraction pattern of Na5B7C3 for λ = 1.5418 Å (Cu Kα), from a cell relaxed with PBE.
No peak broadening, texture or thermal motion is included.

Cell and atoms:
Cell: 5.0992 8.5710 7.5871 Å, 90.00 109.63 90.00°
Space group Pm (No. 6)
One atom of each set of equivalent atoms:
Na  0.0000  0.2423  0.0000 [2 per cell]
Na  0.1991  0.2497  0.4004 [2 per cell]
Na  0.3965  0.2451  0.7991 [2 per cell]
Na  0.5972  0.2480  0.1996 [2 per cell]
Na  0.7986  0.2475  0.5997 [2 per cell]
B  0.0842  0.0000  0.7991 [1 per cell]
B  0.1307  0.5000  0.6089 [1 per cell]
B  0.2673  0.0000  0.1996 [1 per cell]
B  0.3207  0.5000  0.9995 [1 per cell]
B  0.4582  0.0000  0.5882 [1 per cell]
B  0.4604  0.5000  0.6072 [1 per cell]
B  0.5221  0.5000  0.3913 [1 per cell]
B  0.6498  0.5000  0.9989 [1 per cell]
B  0.6694  0.0000  0.0109 [1 per cell]
B  0.7308  0.0000  0.7994 [1 per cell]
B  0.7693  0.5000  0.8087 [1 per cell]
B  0.8535  0.5000  0.3929 [1 per cell]
B  0.8677  0.0000  0.4004 [1 per cell]
B  0.9592  0.5000  0.1904 [1 per cell]
C  0.0677  0.5000  0.8041 [1 per cell]
C  0.1311  0.0000  0.5971 [1 per cell]
C  0.2631  0.5000  0.1952 [1 per cell]
C  0.3338  0.0000  0.0022 [1 per cell]
C  0.5249  0.0000  0.3943 [1 per cell]
C  0.9303  0.0000  0.2055 [1 per cell]

The 10 most intense peaks (2θ from 10° to 90°), sorted by position:
35.20 deg, rel. 10.2; 36.02 deg, rel. 17.9; 41.20 deg, rel. 51.2; 41.92 deg, rel. 100.0; 42.17 deg, rel. 37.9; 56.64 deg, rel. 9.9; 63.70 deg, rel. 17.8; 65.29 deg, rel. 8.7; 76.92 deg, rel. 12.5; 80.18 deg, rel. 10.7


Please write out number 11 again, unchanged.
Calculated powder X-ray diffraction pattern of Tb4Pr2Tl5 for λ = 1.5418 Å (Cu Kα), from a cell relaxed with PBE.
No peak broadening, texture or thermal motion is included.

Cell and atoms:
Cell: 6.7155 10.8599 20.2446 Å, 90.00 90.00 90.00°
Space group Fmmm (No. 69)
One atom of each set of equivalent atoms:
Tb  0.0000  0.1656  0.1298 [16 per cell]
Pr  0.0000  0.0000  0.3320 [8 per cell]
Tl  0.0000  0.0000  0.0000 [4 per cell]
Tl  0.2500  0.2500  0.0000 [8 per cell]
Tl  0.2500  0.2500  0.2500 [8 per cell]

The 10 most intense peaks (2θ from 10° to 90°), sorted by position:
16.12 deg, rel. 39.3; 16.32 deg, rel. 47.6; 31.04 deg, rel. 100.0; 31.32 deg, rel. 49.2; 31.99 deg, rel. 90.9; 35.47 deg, rel. 39.5; 36.11 deg, rel. 97.7; 37.60 deg, rel. 45.5; 57.87 deg, rel. 44.4; 64.11 deg, rel. 33.6